# CaTa2BeIn
Simulated powder diffraction line list, Cu Kα X-rays. Input: a crystal structure in Alexandria, relaxed with GGA-PBE.
Kinematic intensities with the Lorentz-polarization factor, no thermal factor.

Cell and atoms:
a b c (Å): 5.126 5.126 5.421
angles (deg): 90.00 90.00 90.00
Fractional coordinates of all 5 atoms:
Ca: 0.000 0.000 0.000
Ta: 0.000 0.500 0.500
Ta: 0.500 0.000 0.500
Be: 0.500 0.500 0.000
In: 0.000 0.000 0.500

Most intense lines, 2θ from 10° to 90°, sorted by position:
(hkl)	two_theta	d [Å]	I (rel.)
0 0 1	16.35	5.421	100.0
1 1 1	29.65	3.013	45.2
0 0 2	33.05	2.711	28.0
2 0 0	35.01	2.563	47.9
2 0 1	38.87	2.317	47.9
2 0 2	48.91	1.862	37.0


# CaBe3Ir3
Simulated powder diffraction line list, Cu Kα X-rays. Input: a crystal structure in Alexandria, relaxed with GGA-PBE.
Kinematic intensities with the Lorentz-polarization factor, no thermal factor.

Cell and atoms:
a b c (Å): 6.095 6.095 6.095
angles (deg): 90.00 90.00 90.00
Fractional coordinates of all 14 atoms:
Ca: 0.000 0.000 0.000
Ca: 0.500 0.500 0.500
Be: 0.000 0.250 0.500
Be: 0.000 0.750 0.500
Be: 0.250 0.500 0.000
Be: 0.500 0.000 0.250
Be: 0.500 0.000 0.750
Be: 0.750 0.500 0.000
Ir: 0.000 0.500 0.250
Ir: 0.000 0.500 0.750
Ir: 0.250 0.000 0.500
Ir: 0.500 0.250 0.000
Ir: 0.500 0.750 0.000
Ir: 0.750 0.000 0.500

Most intense lines, 2θ from 10° to 90°, sorted by position:
(hkl)	two_theta	d [Å]	I (rel.)
1 1 0	20.61	4.310	27.4
2 1 0	32.86	2.726	100.0
2 1 1	36.10	2.488	32.8
3 2 0	54.26	1.690	24.8
4 2 1	70.85	1.330	22.5
5 2 0	85.87	1.132	20.8